For MgV5Mo5O25, the GGA+U geometry in the Materials Project gives the simulated powder XRD pattern in this record (copper Kα).
Kinematic intensities with the Lorentz-polarization factor, no thermal factor.

Most intense lines, 2θ from 10° to 90°, low angle first:
| d_spacing | two_theta | I (rel.) | index |
| --- | --- | --- | --- |
| 6.139 | 14.4 | 56.0 | 0 1 -1 |
| 3.980 | 22.3 | 100.0 | 1 0 2 |
| 3.762 | 23.7 | 30.0 | -1 1 2 |
| 3.737 | 23.8 | 43.8 | 1 0 -3 |
| 3.336 | 26.7 | 25.3 | 1 1 1 |
| 3.069 | 29.1 | 32.7 | 0 2 -2 |
| 2.854 | 31.3 | 29.8 | -1 2 1 |
| 2.821 | 31.7 | 26.6 | 1 1 -4 |
| 2.046 | 44.3 | 25.9 | 0 3 -3 |
| 1.969 | 46.1 | 25.0 | -2 1 5 |

Cell and atoms:
```
36
Lattice="5.6039 0.0000 0.0000 -1.4492 6.3039 0.0000 -1.2024 -3.1229 13.6172" Properties=species:S:1:pos:R:3 pbc="T T T"
Mg 0.0000 0.0000 0.0000
V -1.0452 3.5157 6.7355
V -0.3323 5.3213 4.2416
V 0.6047 -1.6069 11.9094
V 2.3960 4.7649 1.7289
V 1.9166 4.1350 9.3735
Mo -1.2460 0.8701 12.4979
Mo 1.5205 2.7674 3.9932
Mo 1.4994 0.4052 9.7199
Mo 4.2373 2.2966 1.1789
Mo 4.1517 -0.2438 6.9437
O -1.2798 1.5492 6.8378
O -1.5378 5.1127 3.1033
O -1.1665 -1.0972 13.2289
O 0.0720 -0.9010 5.9624
O -0.1381 2.5314 2.3991
O -1.2216 2.8515 12.3554
O 0.2549 0.1276 8.5391
O -0.0056 3.4549 4.9785
O 0.3630 0.3454 11.3317
O 1.3202 0.9821 4.1028
O 0.1849 3.6954 7.8243
O 1.3405 4.4050 0.4289
O 1.2716 4.7479 3.2578
O 1.7515 -1.5670 10.3892
O 1.6598 -1.2487 13.2072
O 2.8611 -0.5130 5.8193
O 1.7247 2.1809 9.5599
O 2.6412 2.8453 2.3267
O 3.0546 -0.2669 8.6631
O 2.7909 3.0442 5.1381
O 4.2044 0.3143 1.3039
O 3.1476 0.6286 11.2486
O 2.9660 4.1571 7.7225
O 4.1562 4.2675 0.4238
O 4.5465 -1.9397 10.5459
```